Entry 1:
Structure and calculated powder diffraction line list of MgCd2Pb4 (a PBE-relaxed structure; Cu Kα).
Kinematic intensities with the Lorentz-polarization factor, no thermal factor.

```
MgCd2Pb4
1.0
-2.7746 2.7746 7.5685
2.7746 -2.7746 7.5685
2.7746 2.7746 -7.5685
Mg Cd Pb
1 2 4
Cartesian
0.0000 0.0000 0.0000 Mg
0.0000 0.0000 5.8496 Cd
0.0000 0.0000 9.2874 Cd
2.7746 0.0000 0.0000 Pb
0.0000 0.0000 2.9254 Pb
0.0000 2.7746 0.0000 Pb
0.0000 0.0000 12.2116 Pb
```

Top 10 peaks for 2θ from 5° to 70°, by angle:
| d (Å) | intensity |
| --- | --- |
| 3.484 | 100 |
| 2.775 | 75 |
| 2.724 | 37 |
| 2.658 | 47 |
| 1.962 | 28 |
| 1.919 | 36 |
| 1.867 | 13 |
| 1.709 | 28 |
| 1.592 | 15 |
| 1.372 | 12 |


Entry 2:
Structure and calculated powder diffraction line list of Mg7CdPb4 (a PBE-relaxed structure; Cu Kα).
Kinematic intensities with the Lorentz-polarization factor, no thermal factor.

```
Mg7CdPb4
1.0
5.1303 0.0000 0.0000
-2.5652 4.4430 0.0000
0.0000 0.0000 13.2467
Mg Cd Pb
7 1 4
Cartesian
0.0000 0.0000 0.0000 Mg
0.0000 0.0000 3.3750 Mg
0.0000 0.0000 9.8716 Mg
0.0000 2.9620 2.2356 Mg
0.0000 2.9620 5.5476 Mg
2.5652 1.4810 7.6990 Mg
2.5652 1.4810 11.0111 Mg
0.0000 0.0000 6.6233 Cd
0.0000 2.9620 8.7769 Pb
0.0000 2.9620 12.1419 Pb
2.5652 1.4810 1.1048 Pb
2.5652 1.4810 4.4697 Pb
```

Top 10 peaks for 2θ from 5° to 70°, by angle:
| d (Å) | intensity |
| --- | --- |
| 4.443 | 18 |
| 4.212 | 89 |
| 3.132 | 40 |
| 2.655 | 100 |
| 2.565 | 81 |
| 2.191 | 17 |
| 1.844 | 47 |
| 1.552 | 19 |
| 1.498 | 33 |
| 1.481 | 15 |